The following is a computed powder diffractogram of Ba4Y2FeCu5O14. It was derived from the PBE+U geometry in Alexandria, using Cu Kα.

Main lines, in order of falling intensity (15 to 90 degrees two-theta):
| d (Å) | I_rel |
| --- | --- |
| 2.768 | 100.0 |
| 2.745 | 95.3 |
| 2.789 | 88.7 |
| 1.597 | 36.8 |
| 1.585 | 32.1 |
| 1.611 | 31.3 |
| 1.956 | 29.8 |
| 1.927 | 28.4 |
| 2.259 | 23.9 |
| 1.373 | 17.1 |

Atomic structure:
abc: 12.559 12.559 3.853
angles: 90.00 90.00 143.71
Fractional positions:
1 Ba 0.156 0.341 0.000
2 Ba 0.341 0.156 0.000
3 Ba 0.659 0.844 0.000
4 Ba 0.844 0.659 0.000
5 Y 0.000 0.500 0.000
6 Y 0.500 0.000 0.000
7 Fe 0.500 0.500 0.500
8 Cu 0.000 0.000 0.500
9 Cu 0.178 0.822 0.500
10 Cu 0.321 0.679 0.500
11 Cu 0.679 0.321 0.500
12 Cu 0.822 0.178 0.500
13 O 0.060 0.440 0.500
14 O 0.079 0.921 0.500
15 O 0.190 0.810 0.000
16 O 0.249 0.249 0.500
17 O 0.310 0.690 0.000
18 O 0.422 0.578 0.500
19 O 0.440 0.060 0.500
20 O 0.560 0.940 0.500
21 O 0.578 0.422 0.500
22 O 0.690 0.310 0.000
23 O 0.751 0.751 0.500
24 O 0.810 0.190 0.000
25 O 0.921 0.079 0.500
26 O 0.940 0.560 0.500